The following is a theoretical X-ray diffraction stick pattern of La5Te6. It was derived from a structure optimized by DFT (PBE), using λ = 1.5418 Å (Cu Kα).
No peak broadening, texture or thermal motion is included.

Main lines, by angle (10° ≤ 2θ ≤ 80°):
- 2θ = 27.65°, I = 100
- 2θ = 39.48°, I = 51
- 2θ = 39.54°, I = 25
- 2θ = 48.87°, I = 21
- 2θ = 48.99°, I = 7
- 2θ = 57.10°, I = 13
- 2θ = 64.64°, I = 23
- 2θ = 71.55°, I = 6
- 2θ = 71.65°, I = 13
- 2θ = 71.77°, I = 6

Structural model:
abc: 7.919 13.682 7.893
angles: 90.00 109.56 90.00
Space group C2/m (No. 12)
Unique sites:
1 La 0.000 0.000 0.000 (multiplicity 2)
2 La 0.000 0.166 0.500 (multiplicity 4)
3 La 0.000 0.333 0.000 (multiplicity 4)
4 Te 0.245 0.336 0.746 (multiplicity 8)
5 Te 0.245 0.500 0.255 (multiplicity 4)